Starting from DFT lattice parameters and positions (PBE+U), the powder X-ray diffraction pattern of Ba3NdMo2O9 was calculated for copper Kα.
Peak positions follow from Bragg's law for the DFT cell and can differ from measured ones.

Atomic structure:
Cell lengths 6.0383, 6.0383, 7.4077 Å; angles 90.00, 90.00, 120.00 degrees
Space group P-3m1 (No. 164)
One atom of each set of equivalent atoms:
Ba (0.0000, 0.0000, 0.0000) [1 per cell]
Ba (0.3333, 0.6667, 0.6809) [2 per cell]
Nd (0.0000, 0.0000, 0.5000) [1 per cell]
Mo (0.3333, 0.6667, 0.1582) [2 per cell]
O (0.0000, 0.5000, 0.0000) [3 per cell]
O (0.1766, 0.3533, 0.3106) [6 per cell]

Top 10 peaks for 15 to 90 degrees two-theta, low angle first:
hkl 1 1 0, 2θ 29.57, intensity 100; hkl 0 2 1, 2θ 36.43, intensity 4; hkl 2 0 2, 2θ 42.31, intensity 30; hkl 3 0 0, 2θ 52.47, intensity 39; hkl 2 2 0, 2θ 61.38, intensity 18; hkl 3 1 2, 2θ 69.59, intensity 17; hkl 0 0 6, 2θ 77.28, intensity 1; hkl 0 4 2, 2θ 77.42, intensity 5; hkl 1 3 4, 2θ 84.89, intensity 10; hkl 4 1 0, 2θ 84.99, intensity 11